# 1
Structure and computed powder diffraction line list of Ag4BF7 (a structure optimized by DFT (GGA-PBE); CuKα).
Lines closer than 0.1° are merged.

The 10 most intense peaks (10° ≤ 2θ ≤ 90°), low angle first:
- 2θ = 12.44°, d 7.117, rel. 62
- 2θ = 15.80°, d 5.610, rel. 69
- 2θ = 27.46°, d 3.248, rel. 38
- 2θ = 27.73°, d 3.217, rel. 100
- 2θ = 29.44°, d 3.034, rel. 87
- 2θ = 31.07°, d 2.878, rel. 61
- 2θ = 36.25°, d 2.478, rel. 81
- 2θ = 37.53°, d 2.396, rel. 84
- 2θ = 37.93°, d 2.372, rel. 65
- 2θ = 48.15°, d 1.890, rel. 45

Cell and atoms:
a b c (Å): 6.1043 6.1043 8.4379
angles (deg): 120.00 120.00 42.86
Sites, in units of the cell vectors:
Ag  0.1239  0.1239  0.4908
Ag  0.5298  0.2051  0.2052
Ag  0.7949  0.4702  0.7948
Ag  0.8761  0.8761  0.5092
B  0.1643  0.8357  0.0000
F  0.0292  0.7126  0.1382
F  0.1188  0.0892  0.1470
F  0.2874  0.9708  0.8618
F  0.3585  0.3626  0.5114
F  0.4638  0.5362  0.0000
F  0.6374  0.6415  0.4886
F  0.9108  0.8812  0.8530

=====

# 2
Structure and computed powder diffraction line list of Ag2BF6 (a structure optimized by DFT (GGA-PBE); CuKα).
Lines closer than 0.1° are merged.

The 10 most intense peaks (10° ≤ 2θ ≤ 90°), low angle first:
- 2θ = 16.81°, d 5.274, rel. 100
- 2θ = 25.93°, d 3.436, rel. 29
- 2θ = 26.10°, d 3.415, rel. 33
- 2θ = 26.42°, d 3.373, rel. 32
- 2θ = 31.06°, d 2.880, rel. 59
- 2θ = 31.37°, d 2.852, rel. 37
- 2θ = 31.61°, d 2.831, rel. 19
- 2θ = 34.00°, d 2.637, rel. 31
- 2θ = 43.34°, d 2.088, rel. 22
- 2θ = 49.62°, d 1.837, rel. 17

Cell and atoms:
a b c (Å): 5.2741 6.8724 7.8069
angles (deg): 89.18 89.34 89.82
Sites, in units of the cell vectors:
Ag  0.0000  0.0000  0.0000
Ag  0.0008  0.9459  0.5016
Ag  0.9879  0.4996  0.7384
Ag  0.9912  0.4444  0.2402
B  0.4947  0.6231  0.0718
B  0.4959  0.1254  0.6671
F  0.9996  0.1071  0.2635
F  0.2715  0.2311  0.6201
F  0.2733  0.7324  0.1192
F  0.4925  0.4482  0.1708
F  0.4966  0.0878  0.8432
F  0.4966  0.5870  0.8964
F  0.5008  0.9514  0.5714
F  0.7141  0.2372  0.6168
F  0.7157  0.7304  0.1181
F  0.9908  0.6102  0.4743
F  0.9922  0.3349  0.9762
F  0.9991  0.8332  0.7653

=====

# 3
Structure and computed powder diffraction line list of AgHgBF4 (a structure optimized by DFT (GGA-PBE); CuKα).
Lines closer than 0.1° are merged.

The 10 most intense peaks (10° ≤ 2θ ≤ 90°), low angle first:
- 2θ = 15.08°, d 5.873, rel. 100
- 2θ = 24.11°, d 3.691, rel. 74
- 2θ = 27.58°, d 3.234, rel. 22
- 2θ = 29.62°, d 3.016, rel. 38
- 2θ = 33.94°, d 2.642, rel. 39
- 2θ = 35.18°, d 2.551, rel. 27
- 2θ = 37.70°, d 2.386, rel. 33
- 2θ = 44.73°, d 2.026, rel. 18
- 2θ = 45.25°, d 2.004, rel. 16
- 2θ = 49.07°, d 1.857, rel. 20

Cell and atoms:
a b c (Å): 6.2716 6.2716 6.7645
angles (deg): 103.70 103.70 72.10
Sites, in units of the cell vectors:
Ag  0.2228  0.2228  0.1235
Ag  0.7772  0.7772  0.8765
Hg  0.0257  0.0257  0.7308
Hg  0.9743  0.9743  0.2692
B  0.3731  0.3731  0.7277
B  0.6269  0.6269  0.2723
F  0.1839  0.4962  0.8293
F  0.2911  0.2911  0.5186
F  0.4861  0.4861  0.2602
F  0.4962  0.1839  0.8293
F  0.5038  0.8161  0.1707
F  0.5139  0.5139  0.7398
F  0.7089  0.7089  0.4814
F  0.8161  0.5038  0.1707

=====

# 4
Structure and computed powder diffraction line list of KAgB2F8 (a structure optimized by DFT (GGA-PBE); CuKα).
Lines closer than 0.1° are merged.

The 10 most intense peaks (10° ≤ 2θ ≤ 90°), low angle first:
- 2θ = 11.79°, d 7.505, rel. 23
- 2θ = 20.30°, d 4.375, rel. 24
- 2θ = 21.43°, d 4.147, rel. 19
- 2θ = 25.48°, d 3.496, rel. 100
- 2θ = 28.16°, d 3.169, rel. 20
- 2θ = 34.84°, d 2.575, rel. 31
- 2θ = 37.80°, d 2.380, rel. 23
- 2θ = 41.27°, d 2.188, rel. 17
- 2θ = 42.58°, d 2.123, rel. 54
- 2θ = 61.11°, d 1.516, rel. 13

Cell and atoms:
a b c (Å): 8.0727 8.0727 8.0727
angles (deg): 37.20 37.20 37.20
Sites, in units of the cell vectors:
K  0.0000  0.0000  0.0000
Ag  0.5000  0.5000  0.5000
B  0.2535  0.2535  0.2535
B  0.7465  0.7465  0.7465
F  0.0067  0.4898  0.8046
F  0.1954  0.9933  0.5102
F  0.3165  0.3165  0.3165
F  0.4898  0.8046  0.0067
F  0.5102  0.1954  0.9933
F  0.6835  0.6835  0.6835
F  0.8046  0.0067  0.4898
F  0.9933  0.5102  0.1954

=====

# 5
Structure and computed powder diffraction line list of LiAg2BF6 (a structure optimized by DFT (GGA-PBE); CuKα).
Lines closer than 0.1° are merged.

The 10 most intense peaks (10° ≤ 2θ ≤ 90°), low angle first:
- 2θ = 15.07°, d 5.879, rel. 100
- 2θ = 25.53°, d 3.489, rel. 26
- 2θ = 25.88°, d 3.443, rel. 55
- 2θ = 26.54°, d 3.359, rel. 45
- 2θ = 29.11°, d 3.067, rel. 40
- 2θ = 30.42°, d 2.938, rel. 63
- 2θ = 33.26°, d 2.694, rel. 29
- 2θ = 34.90°, d 2.570, rel. 23
- 2θ = 38.32°, d 2.349, rel. 37
- 2θ = 39.12°, d 2.303, rel. 33

Cell and atoms:
a b c (Å): 4.7943 5.1962 6.2419
angles (deg): 73.87 78.80 89.00
Sites, in units of the cell vectors:
Li  0.0000  0.0000  0.0000
Ag  0.3764  0.8169  0.5062
Ag  0.9294  0.4149  0.4993
B  0.5043  0.3730  0.0571
F  0.0253  0.0155  0.6930
F  0.3569  0.1524  0.0294
F  0.4021  0.6160  0.9425
F  0.4634  0.3506  0.2944
F  0.7991  0.3558  0.9725
F  0.8233  0.8034  0.2974

=====

# 6
Structure and computed powder diffraction line list of Ga3AgB (a structure optimized by DFT (GGA-PBE); CuKα).
Lines closer than 0.1° are merged.

The 10 most intense peaks (10° ≤ 2θ ≤ 90°), low angle first:
- 2θ = 20.06°, d 4.426, rel. 3
- 2θ = 28.52°, d 3.130, rel. 6
- 2θ = 35.12°, d 2.555, rel. 100
- 2θ = 40.78°, d 2.213, rel. 54
- 2θ = 45.85°, d 1.979, rel. 1
- 2θ = 50.51°, d 1.807, rel. 2
- 2θ = 59.03°, d 1.565, rel. 35
- 2θ = 70.58°, d 1.334, rel. 37
- 2θ = 74.23°, d 1.278, rel. 11
- 2θ = 88.33°, d 1.106, rel. 6

Cell and atoms:
a b c (Å): 4.4258 4.4258 4.4258
angles (deg): 90.00 90.00 90.00
Sites, in units of the cell vectors:
Ga  0.0000  0.0000  0.5000
Ga  0.0000  0.5000  0.0000
Ga  0.5000  0.0000  0.0000
Ag  0.5000  0.5000  0.5000
B  0.0000  0.0000  0.0000

=====

# 7
Structure and computed powder diffraction line list of Ag2Ge4B (a structure optimized by DFT (GGA-PBE); CuKα).
Lines closer than 0.1° are merged.

The 10 most intense peaks (10° ≤ 2θ ≤ 90°), low angle first:
- 2θ = 29.42°, d 3.036, rel. 33
- 2θ = 32.03°, d 2.794, rel. 71
- 2θ = 37.83°, d 2.378, rel. 37
- 2θ = 38.95°, d 2.312, rel. 100
- 2θ = 42.08°, d 2.147, rel. 63
- 2θ = 57.86°, d 1.594, rel. 40
- 2θ = 61.03°, d 1.518, rel. 20
- 2θ = 73.30°, d 1.291, rel. 20
- 2θ = 74.09°, d 1.280, rel. 19
- 2θ = 74.81°, d 1.269, rel. 28

Cell and atoms:
a b c (Å): 4.2941 4.2941 14.2691
angles (deg): 90.00 90.00 90.00
Sites, in units of the cell vectors:
Ag  0.0000  0.0000  0.1498
Ag  0.0000  0.0000  0.8502
Ag  0.5000  0.5000  0.3502
Ag  0.5000  0.5000  0.6498
Ge  0.0000  0.0000  0.3411
Ge  0.0000  0.0000  0.6589
Ge  0.0000  0.5000  0.0000
Ge  0.0000  0.5000  0.5000
Ge  0.5000  0.0000  0.0000
Ge  0.5000  0.0000  0.5000
Ge  0.5000  0.5000  0.1589
Ge  0.5000  0.5000  0.8411
B  0.0000  0.0000  0.5000
B  0.5000  0.5000  0.0000

=====

# 8
Structure and computed powder diffraction line list of AgGe2B (a structure optimized by DFT (GGA-PBE); CuKα).
Lines closer than 0.1° are merged.

The 10 most intense peaks (10° ≤ 2θ ≤ 90°), low angle first:
- 2θ = 18.39°, d 4.825, rel. 13
- 2θ = 29.80°, d 2.998, rel. 100
- 2θ = 34.06°, d 2.633, rel. 26
- 2θ = 36.39°, d 2.469, rel. 58
- 2θ = 44.60°, d 2.032, rel. 21
- 2θ = 46.80°, d 1.941, rel. 9
- 2θ = 48.62°, d 1.873, rel. 17
- 2θ = 52.04°, d 1.757, rel. 35
- 2θ = 54.56°, d 1.682, rel. 21
- 2θ = 66.63°, d 1.404, rel. 15

Cell and atoms:
a b c (Å): 5.7469 5.7469 8.8846
angles (deg): 90.00 90.00 90.00
Sites, in units of the cell vectors:
Ag  0.0000  0.0000  0.0000
Ag  0.0000  0.5000  0.2500
Ag  0.5000  0.0000  0.7500
Ag  0.5000  0.5000  0.5000
Ge  0.1714  0.2500  0.6250
Ge  0.2500  0.6714  0.8750
Ge  0.2500  0.8286  0.3750
Ge  0.3286  0.2500  0.1250
Ge  0.6714  0.7500  0.1250
Ge  0.7500  0.1714  0.3750
Ge  0.7500  0.3286  0.8750
Ge  0.8286  0.7500  0.6250
B  0.0000  0.0000  0.5000
B  0.0000  0.5000  0.7500
B  0.5000  0.0000  0.2500
B  0.5000  0.5000  0.0000

=====

# 9
Structure and computed powder diffraction line list of Ag2GeB2O6 (a structure optimized by DFT (GGA-PBE); CuKα).
Lines closer than 0.1° are merged.

The 10 most intense peaks (10° ≤ 2θ ≤ 90°), low angle first:
- 2θ = 21.16°, d 4.199, rel. 44
- 2θ = 33.60°, d 2.667, rel. 100
- 2θ = 35.89°, d 2.502, rel. 59
- 2θ = 43.09°, d 2.099, rel. 17
- 2θ = 47.12°, d 1.929, rel. 16
- 2θ = 48.64°, d 1.872, rel. 14
- 2θ = 49.97°, d 1.825, rel. 21
- 2θ = 58.56°, d 1.576, rel. 19
- 2θ = 63.04°, d 1.475, rel. 27
- 2θ = 81.84°, d 1.177, rel. 13

Cell and atoms:
a b c (Å): 6.3373 6.3373 6.3373
angles (deg): 46.52 46.52 46.52
Sites, in units of the cell vectors:
Ag  0.2012  0.2012  0.2012
Ag  0.7988  0.7988  0.7988
Ge  0.0000  0.0000  0.0000
B  0.3966  0.3966  0.3966
B  0.6034  0.6034  0.6034
O  0.2425  0.2425  0.7206
O  0.2425  0.7206  0.2425
O  0.2794  0.7575  0.7575
O  0.7206  0.2425  0.2425
O  0.7575  0.2794  0.7575
O  0.7575  0.7575  0.2794

=====

# 10
Structure and computed powder diffraction line list of AgGe3B4O12 (a structure optimized by DFT (GGA-PBE); CuKα).
Lines closer than 0.1° are merged.

The 10 most intense peaks (10° ≤ 2θ ≤ 90°), low angle first:
- 2θ = 18.61°, d 4.767, rel. 14
- 2θ = 24.44°, d 3.642, rel. 82
- 2θ = 30.90°, d 2.894, rel. 17
- 2θ = 31.70°, d 2.822, rel. 100
- 2θ = 37.74°, d 2.383, rel. 23
- 2θ = 45.48°, d 1.994, rel. 15
- 2θ = 46.07°, d 1.970, rel. 25
- 2θ = 52.26°, d 1.750, rel. 46
- 2θ = 62.92°, d 1.477, rel. 15
- 2θ = 64.35°, d 1.448, rel. 11

Cell and atoms:
a b c (Å): 6.0781 6.0781 6.0781
angles (deg): 103.30 103.30 103.30
Sites, in units of the cell vectors:
Ag  0.0000  0.0000  0.0000
Ge  0.0000  0.5463  0.4537
Ge  0.4537  0.0000  0.5463
Ge  0.5463  0.4537  0.0000
B  0.0534  0.5000  0.9466
B  0.5000  0.5000  0.5000
B  0.5000  0.9466  0.0534
B  0.9466  0.0534  0.5000
O  0.0096  0.6077  0.7732
O  0.0959  0.9041  0.5000
O  0.2268  0.3923  0.9904
O  0.3538  0.6462  0.5000
O  0.3923  0.9904  0.2268
O  0.5000  0.0959  0.9041
O  0.5000  0.3538  0.6462
O  0.6077  0.7732  0.0096
O  0.6462  0.5000  0.3538
O  0.7732  0.0096  0.6077
O  0.9041  0.5000  0.0959
O  0.9904  0.2268  0.3923

=====

# 11
Structure and computed powder diffraction line list of Ag2GeBS4 (a structure optimized by DFT (GGA-PBE); CuKα).
Lines closer than 0.1° are merged.

The 10 most intense peaks (10° ≤ 2θ ≤ 90°), low angle first:
- 2θ = 17.98°, d 4.933, rel. 16
- 2θ = 28.38°, d 3.144, rel. 100
- 2θ = 30.56°, d 2.925, rel. 12
- 2θ = 31.83°, d 2.812, rel. 13
- 2θ = 36.79°, d 2.443, rel. 18
- 2θ = 45.63°, d 1.988, rel. 18
- 2θ = 47.97°, d 1.896, rel. 32
- 2θ = 54.61°, d 1.680, rel. 26
- 2θ = 58.71°, d 1.572, rel. 16
- 2θ = 77.37°, d 1.233, rel. 14

Cell and atoms:
a b c (Å): 5.6234 5.6234 10.2736
angles (deg): 90.00 90.00 90.00
Sites, in units of the cell vectors:
Ag  0.0000  0.0000  0.0000
Ag  0.0000  0.5000  0.2500
Ag  0.5000  0.0000  0.7500
Ag  0.5000  0.5000  0.5000
Ge  0.0000  0.5000  0.7500
Ge  0.5000  0.0000  0.2500
B  0.0000  0.0000  0.5000
B  0.5000  0.5000  0.0000
S  0.1975  0.7942  0.6065
S  0.2058  0.1975  0.3935
S  0.2942  0.3025  0.8935
S  0.3025  0.7058  0.1065
S  0.6975  0.2942  0.1065
S  0.7058  0.6975  0.8935
S  0.7942  0.8025  0.3935
S  0.8025  0.2058  0.6065